Theoretical powder X-ray diffraction pattern
Compound: Li2MnP2O7
Radiation: Cu Kα X-rays
Structure: a DFT-relaxed cell (GGA+U, the Materials Project)

Crystal structure
Cell lengths 5.1323, 13.8784, 9.3377 Å; angles 90.00, 120.74, 90.00 degrees
Space group P2_1/c (No. 14)
Symmetry-distinct sites (fractional):
Li  0.0420  0.0921  0.3612 (multiplicity 4)
Li  0.4249  0.1908  0.1689 (multiplicity 4)
Mn  0.0190  0.1636  0.7294 (multiplicity 4)
P  0.2755  0.6747  0.5359 (multiplicity 4)
P  0.4811  0.5272  0.7791 (multiplicity 4)
O  0.0001  0.1876  0.1413 (multiplicity 4)
O  0.2280  0.7275  0.6654 (multiplicity 4)
O  0.2292  0.5316  0.8226 (multiplicity 4)
O  0.2632  0.1015  0.6213 (multiplicity 4)
O  0.3071  0.5615  0.5810 (multiplicity 4)
O  0.3970  0.5721  0.2189 (multiplicity 4)
O  0.4266  0.2034  0.9552 (multiplicity 4)

Main lines, in order of falling intensity (10° ≤ 2θ ≤ 90°):
(0 2 1), 2θ 16.9, intensity 100
(0 0 2), 2θ 22.2, intensity 66
(1 2 0), 2θ 23.9, intensity 35
(1 2 2), 2θ 39.5, intensity 32
(0 1 3), 2θ 34.2, intensity 29
(1 2 -3), 2θ 31.7, intensity 29
(1 2 1), 2θ 30.5, intensity 28
(1 2 -2), 2θ 24.6, intensity 26
(1 1 -2), 2θ 21.9, intensity 24
(2 0 -2), 2θ 35.0, intensity 22

=====

Theoretical powder X-ray diffraction pattern
Compound: MgV3O4F4
Radiation: Cu Kα X-rays
Structure: a DFT-relaxed cell (GGA+U, the Materials Project)

Crystal structure
Cell lengths 4.8711, 3.1193, 9.7508 Å; angles 90.00, 90.26, 90.00 degrees
Space group Pm (No. 6)
Symmetry-distinct sites (fractional):
Mg  0.0000  0.0000  0.0000 (multiplicity 1)
V  0.0475  0.5000  0.7064 (multiplicity 1)
V  0.4959  0.5000  0.2490 (multiplicity 1)
V  0.5522  0.0000  0.5041 (multiplicity 1)
O  0.3271  0.0000  0.3414 (multiplicity 1)
O  0.3600  0.5000  0.5904 (multiplicity 1)
O  0.7271  0.5000  0.4061 (multiplicity 1)
O  0.8436  0.0000  0.6338 (multiplicity 1)
F  0.2010  0.5000  0.0894 (multiplicity 1)
F  0.2280  0.0000  0.8261 (multiplicity 1)
F  0.6952  0.0000  0.1364 (multiplicity 1)
F  0.8357  0.5000  0.8962 (multiplicity 1)

Main lines, in order of falling intensity (10° ≤ 2θ ≤ 90°):
(1 0 -1), 2θ 20.4, intensity 100
(1 1 -2), 2θ 38.9, intensity 30
(1 1 1), 2θ 35.4, intensity 21
(0 1 2), 2θ 34.1, intensity 20
(2 1 2), 2θ 51.2, intensity 15
(2 1 -2), 2θ 51.1, intensity 14
(1 0 3), 2θ 33.2, intensity 13
(1 0 -3), 2θ 33.1, intensity 12
(3 1 1), 2θ 65.5, intensity 11
(0 1 6), 2θ 64.7, intensity 11

=====

Theoretical powder X-ray diffraction pattern
Compound: FeOF
Radiation: Cu Kα X-rays
Structure: a DFT-relaxed cell (GGA+U, the Materials Project)

Crystal structure
Cell lengths 9.4606, 3.1119, 14.2469 Å; angles 90.00, 90.05, 90.00 degrees
Space group Pm (No. 6)
Symmetry-distinct sites (fractional):
Fe  0.0000  0.0000  0.0000 (multiplicity 1)
Fe  0.0000  0.0000  0.3367 (multiplicity 1)
Fe  0.0064  0.0000  0.6697 (multiplicity 1)
Fe  0.2570  0.5000  0.8127 (multiplicity 1)
Fe  0.2883  0.5000  0.1691 (multiplicity 1)
Fe  0.2893  0.5000  0.5013 (multiplicity 1)
Fe  0.4995  0.0000  0.6684 (multiplicity 1)
Fe  0.5028  0.0000  0.3361 (multiplicity 1)
Fe  0.5036  0.0000  0.0026 (multiplicity 1)
Fe  0.7909  0.5000  0.5044 (multiplicity 1)
Fe  0.7915  0.5000  0.8314 (multiplicity 1)
Fe  0.7918  0.5000  0.1686 (multiplicity 1)
O  0.1661  0.0000  0.7627 (multiplicity 1)
O  0.3677  0.0000  0.5633 (multiplicity 1)
O  0.3698  0.0000  0.2292 (multiplicity 1)
O  0.4188  0.5000  0.0591 (multiplicity 1)
O  0.4238  0.5000  0.3966 (multiplicity 1)
O  0.4236  0.5000  0.7322 (multiplicity 1)
O  0.8674  0.0000  0.2303 (multiplicity 1)
O  0.8665  0.0000  0.8964 (multiplicity 1)
O  0.8678  0.0000  0.5647 (multiplicity 1)
O  0.9187  0.5000  0.7277 (multiplicity 1)
O  0.9219  0.5000  0.0629 (multiplicity 1)
O  0.9233  0.5000  0.3979 (multiplicity 1)
F  0.1182  0.5000  0.2655 (multiplicity 1)
F  0.1177  0.5000  0.5936 (multiplicity 1)
F  0.1218  0.5000  0.9349 (multiplicity 1)
F  0.1720  0.0000  0.1000 (multiplicity 1)
F  0.1732  0.0000  0.4307 (multiplicity 1)
F  0.3634  0.0000  0.8947 (multiplicity 1)
F  0.6110  0.5000  0.9307 (multiplicity 1)
F  0.6171  0.5000  0.6004 (multiplicity 1)
F  0.6194  0.5000  0.2657 (multiplicity 1)
F  0.6692  0.0000  0.0976 (multiplicity 1)
F  0.6712  0.0000  0.7654 (multiplicity 1)
F  0.6720  0.0000  0.4336 (multiplicity 1)

Main lines, in order of falling intensity (10° ≤ 2θ ≤ 90°):
(2 0 -3), 2θ 26.6, intensity 100
(0 1 3), 2θ 34.5, intensity 56
(2 1 -6), 2θ 52.2, intensity 45
(0 1 9), 2θ 66.2, intensity 23
(2 1 -3), 2θ 39.5, intensity 19
(4 0 -6), 2θ 54.8, intensity 16
(4 1 3), 2θ 52.3, intensity 14
(0 2 0), 2θ 59.4, intensity 10
(6 1 0), 2θ 66.5, intensity 9
(4 0 -3), 2θ 42.7, intensity 8

=====

Theoretical powder X-ray diffraction pattern
Compound: K2VCo6Cu2As5O24
Radiation: Cu Kα X-rays
Structure: a DFT-relaxed cell (GGA+U, the Materials Project)

Crystal structure
Cell lengths 6.9355, 8.9388, 8.9428 Å; angles 92.41, 106.07, 106.04 degrees
Space group P1 (No. 1)
Symmetry-distinct sites (fractional):
K  0.0000  0.0000  0.0000 (multiplicity 1)
K  0.5000  0.0277  0.9723 (multiplicity 1)
V  0.1226  0.6602  0.8642 (multiplicity 1)
Co  0.9998  0.2707  0.7287 (multiplicity 1)
Co  0.1192  0.9548  0.6086 (multiplicity 1)
Co  0.3801  0.0740  0.3638 (multiplicity 1)
Co  0.5015  0.7553  0.2438 (multiplicity 1)
Co  0.6205  0.6371  0.9265 (multiplicity 1)
Co  0.8798  0.3917  0.0470 (multiplicity 1)
Cu  0.0002  0.5157  0.4832 (multiplicity 1)
Cu  0.5003  0.5116  0.4889 (multiplicity 1)
As  0.0008  0.7293  0.2720 (multiplicity 1)
As  0.3780  0.3668  0.1086 (multiplicity 1)
As  0.5000  0.2999  0.7004 (multiplicity 1)
As  0.6221  0.8915  0.6330 (multiplicity 1)
As  0.8779  0.1365  0.3387 (multiplicity 1)
O  0.0150  0.7384  0.4712 (multiplicity 1)
O  0.0618  0.5131  0.7060 (multiplicity 1)
O  0.0700  0.0427  0.3929 (multiplicity 1)
O  0.1256  0.8389  0.7990 (multiplicity 1)
O  0.1323  0.3450  0.9756 (multiplicity 1)
O  0.2266  0.8405  0.2358 (multiplicity 1)
O  0.2741  0.1883  0.7357 (multiplicity 1)
O  0.3727  0.6864  0.9986 (multiplicity 1)
O  0.3756  0.1887  0.1704 (multiplicity 1)
O  0.4307  0.9854  0.5790 (multiplicity 1)
O  0.4358  0.5147  0.2622 (multiplicity 1)
O  0.4868  0.2906  0.5013 (multiplicity 1)
O  0.5142  0.4991  0.7102 (multiplicity 1)
O  0.5643  0.7381  0.4854 (multiplicity 1)
O  0.5691  0.4208  0.0149 (multiplicity 1)
O  0.6243  0.8299  0.8112 (multiplicity 1)
O  0.6321  0.0049  0.3162 (multiplicity 1)
O  0.7260  0.2647  0.8119 (multiplicity 1)
O  0.7755  0.7653  0.1606 (multiplicity 1)
O  0.8681  0.0244  0.6560 (multiplicity 1)
O  0.8765  0.1987  0.1606 (multiplicity 1)
O  0.9258  0.6071  0.9571 (multiplicity 1)
O  0.9362  0.2899  0.4858 (multiplicity 1)
O  0.9865  0.5301  0.2622 (multiplicity 1)

Main lines, in order of falling intensity (10° ≤ 2θ ≤ 90°):
(0 3 -1), 2θ 31.9, intensity 100
(2 0 -1), 2θ 26.8, intensity 73
(0 2 2), 2θ 31.5, intensity 60
(2 0 0), 2θ 28.1, intensity 39
(-2 2 2), 2θ 32.9, intensity 33
(0 2 1), 2θ 24.5, intensity 28
(-4 1 1), 2θ 53.3, intensity 24
(-2 1 5), 2θ 53.6, intensity 21
(2 -2 1), 2θ 33.4, intensity 20
(0 5 1), 2θ 56.4, intensity 19

=====

Theoretical powder X-ray diffraction pattern
Compound: MnFe4Bi5O15
Radiation: Cu Kα X-rays
Structure: a DFT-relaxed cell (GGA+U, the Materials Project)

Crystal structure
Cell lengths 5.6470, 5.7106, 23.2512 Å; angles 83.71, 89.74, 60.37 degrees
Space group P1 (No. 1)
Symmetry-distinct sites (fractional):
Mn  0.0000  0.0000  0.0000 (multiplicity 1)
Mn  0.3975  0.4102  0.2011 (multiplicity 1)
Fe  0.0975  0.1142  0.3006 (multiplicity 1)
Fe  0.1946  0.2154  0.5996 (multiplicity 1)
Fe  0.2920  0.3174  0.9001 (multiplicity 1)
Fe  0.4929  0.5163  0.5001 (multiplicity 1)
Fe  0.5929  0.6184  0.7996 (multiplicity 1)
Fe  0.6877  0.7218  0.0984 (multiplicity 1)
Fe  0.7949  0.8170  0.3999 (multiplicity 1)
Fe  0.8923  0.9169  0.6995 (multiplicity 1)
Bi  0.1042  0.2394  0.4444 (multiplicity 1)
Bi  0.2030  0.3415  0.7435 (multiplicity 1)
Bi  0.3020  0.4343  0.0458 (multiplicity 1)
Bi  0.4094  0.5371  0.3444 (multiplicity 1)
Bi  0.5034  0.6395  0.6438 (multiplicity 1)
Bi  0.6031  0.7375  0.9442 (multiplicity 1)
Bi  0.7042  0.8410  0.2429 (multiplicity 1)
Bi  0.8048  0.9395  0.5441 (multiplicity 1)
Bi  0.9020  0.0417  0.8439 (multiplicity 1)
Bi  0.9965  0.1521  0.1436 (multiplicity 1)
O  0.0172  0.9467  0.3683 (multiplicity 1)
O  0.0466  0.4264  0.3584 (multiplicity 1)
O  0.0556  0.9844  0.6368 (multiplicity 1)
O  0.0859  0.4941  0.1325 (multiplicity 1)
O  0.1098  0.6501  0.4681 (multiplicity 1)
O  0.1955  0.7253  0.2567 (multiplicity 1)
O  0.2054  0.1491  0.9674 (multiplicity 1)
O  0.2350  0.6366  0.9547 (multiplicity 1)
O  0.2486  0.1918  0.2368 (multiplicity 1)
O  0.2986  0.8531  0.0625 (multiplicity 1)
O  0.2998  0.6862  0.7367 (multiplicity 1)
O  0.3933  0.9295  0.8579 (multiplicity 1)
O  0.4107  0.3511  0.5673 (multiplicity 1)
O  0.4430  0.8286  0.5575 (multiplicity 1)
O  0.4542  0.3851  0.8371 (multiplicity 1)
O  0.5037  0.8849  0.3365 (multiplicity 1)
O  0.5095  0.0505  0.6668 (multiplicity 1)
O  0.5902  0.1291  0.4578 (multiplicity 1)
O  0.6050  0.5516  0.1665 (multiplicity 1)
O  0.6302  0.0511  0.1592 (multiplicity 1)
O  0.6530  0.5865  0.4371 (multiplicity 1)
O  0.7026  0.0911  0.9378 (multiplicity 1)
O  0.7218  0.2407  0.2712 (multiplicity 1)
O  0.7960  0.3144  0.0519 (multiplicity 1)
O  0.8105  0.7516  0.7667 (multiplicity 1)
O  0.8433  0.2284  0.7571 (multiplicity 1)
O  0.8583  0.7950  0.0325 (multiplicity 1)
O  0.8994  0.2867  0.5372 (multiplicity 1)
O  0.9105  0.4488  0.8669 (multiplicity 1)
O  0.9904  0.5280  0.6575 (multiplicity 1)

Main lines, in order of falling intensity (10° ≤ 2θ ≤ 90°):
(1 1 6), 2θ 28.6, intensity 100
(0 1 3), 2θ 20.2, intensity 77
(1 -1 0), 2θ 31.5, intensity 76
(1 0 -7), 2θ 31.8, intensity 76
(2 1 -1), 2θ 32.0, intensity 75
(1 2 -1), 2θ 32.2, intensity 72
(1 0 3), 2θ 22.1, intensity 63
(0 1 -7), 2θ 34.6, intensity 60
(1 1 -4), 2θ 24.6, intensity 49
(0 2 6), 2θ 41.0, intensity 48